1.
Diffraction record for La4Sm2Er5. The PXRD pattern is simulated, not measured: it uses a crystal structure in Alexandria, relaxed with PBE and copper Kα.
Intensities are scaled so that the largest is 1000.

Atomic structure:
```
La4Sm2Er5
1.0
12.2081 -1.7685 0.0000
12.2081 1.7685 0.0000
-0.6004 0.0000 8.7020
La Sm Er
4 2 5
direct
0.0404 0.0404 0.3407 La
0.4096 0.4096 0.3021 La
0.5904 0.5904 0.6978 La
0.9596 0.9596 0.6593 La
0.2741 0.2741 0.1729 Sm
0.7259 0.7259 0.8271 Sm
0.1320 0.1320 0.0511 Er
0.1884 0.1884 0.4701 Er
0.5000 0.5000 0.0000 Er
0.8116 0.8116 0.5299 Er
0.8680 0.8680 0.9489 Er
```

The 8 most intense peaks (2θ from 5° to 70°), sorted by position:
2θ/deg, I_rel
27.55, 421
30.43, 631
31.18, 1000
33.35, 580
34.02, 521
51.20, 265
61.18, 326
61.61, 287



2.
Diffraction record for La4Sm3Er4. The PXRD pattern is simulated, not measured: it uses a crystal structure in Alexandria, relaxed with PBE and copper Kα.
Intensities are scaled so that the largest is 1000.

Atomic structure:
```
La4Sm3Er4
1.0
-1.8224 2.5551 19.9293
1.8224 -2.5551 19.9293
1.8224 2.5551 -19.9293
La Sm Er
4 3 4
direct
0.0460 0.0460 0.0000 La
0.3168 0.3168 0.0000 La
0.6832 0.6832 0.0000 La
0.9540 0.9540 0.0000 La
0.1365 0.1365 0.0000 Sm
0.5000 0.5000 0.0000 Sm
0.8635 0.8635 0.0000 Sm
0.2285 0.2285 0.0000 Er
0.4076 0.4076 0.0000 Er
0.5924 0.5924 0.0000 Er
0.7715 0.7715 0.0000 Er
```

The 8 most intense peaks (2θ from 5° to 70°), sorted by position:
2θ/deg, I_rel
30.12, 1000
30.24, 985
34.92, 672
35.12, 336
50.36, 595
59.60, 288
59.81, 280
59.98, 283